Entry 1:
Simulated powder diffraction line list of Ag5Cl2F5 for Cu Kα X-rays, from DFT lattice parameters and positions (PBE).

The 10 most intense peaks (10 to 80 degrees two-theta), most intense first:
2θ (°)	Rel. int.	h k l
27.0	100	0 1 3
26.5	75	0 1 -2
27.7	54	1 1 1
30.3	49	1 -1 0
30.5	46	0 2 1
52.3	36	0 3 4
31.4	36	-1 1 1
44.6	32	1 2 4
40.4	26	1 2 3
35.5	25	1 -1 2

Structural model:
Cell lengths 3.6410, 5.8942, 10.6515 Å; angles 74.17, 80.60, 84.31 degrees
Space group P-1 (No. 2)
One atom of each set of equivalent atoms:
Ag 0.0000 0.0000 0.0000 [1 per cell]
Ag 0.2131 0.4266 0.1752 [2 per cell]
Ag 0.3044 0.2307 0.5685 [2 per cell]
Cl 0.2272 0.9207 0.7809 [2 per cell]
F 0.0000 0.0000 0.5000 [1 per cell]
F 0.3160 0.3264 0.9338 [2 per cell]
F 0.3455 0.5236 0.3793 [2 per cell]

Entry 2:
Simulated powder diffraction line list of Ag3Cl3F2 for Cu Kα X-rays, from DFT lattice parameters and positions (PBE).

The 10 most intense peaks (10 to 80 degrees two-theta), most intense first:
2θ (°)	Rel. int.	h k l
19.1	100	1 1 0
14.0	47	2 0 0
36.0	46	0 2 0
27.7	46	3 1 0
26.5	28	2 0 3
26.0	21	2 0 -3
29.3	20	1 1 -3
29.5	20	1 1 3
45.0	16	0 0 6
43.0	13	6 0 0

Structural model:
Cell lengths 12.6271, 4.9907, 12.0864 Å; angles 90.00, 91.02, 90.00 degrees
Space group Cm (No. 8)
One atom of each set of equivalent atoms:
Ag 0.0000 0.0000 0.0000 [2 per cell]
Ag 0.0256 0.0000 0.3990 [2 per cell]
Ag 0.2905 0.0000 0.8842 [2 per cell]
Ag 0.3200 0.0000 0.5007 [2 per cell]
Ag 0.3576 0.0000 0.1810 [2 per cell]
Ag 0.4733 0.5000 0.6851 [2 per cell]
Cl 0.1410 0.0000 0.5740 [2 per cell]
Cl 0.1862 0.0000 0.0593 [2 per cell]
Cl 0.2212 0.0000 0.3239 [2 per cell]
Cl 0.3200 0.5000 0.8984 [2 per cell]
Cl 0.3800 0.0000 0.7006 [2 per cell]
Cl 0.4522 0.5000 0.2053 [2 per cell]
F 0.0684 0.0000 0.8346 [2 per cell]
F 0.3875 0.5000 0.5245 [2 per cell]
F 0.4449 0.0000 0.0278 [2 per cell]
F 0.4633 0.0000 0.4087 [2 per cell]